[1]
Starting from a DFT-relaxed cell (GGA-PBE, Alexandria), the X-ray diffraction stick pattern of BaBiAs was calculated for copper Kα.
Kinematic intensities with the Lorentz-polarization factor, no thermal factor.

Peak list (12 most intense, 2θ = 15–90°, sorted by position)
d (Å)  I/Imax
3.773  92
3.574  25
3.090  34
2.921  37
2.858  100
2.780  35
2.758  32
2.372  36
2.268  46
1.830  19
1.804  20
1.519  21

Structural model:
Lattice parameters (Å, degrees): 6.0988 6.0988 8.3604 97.61 97.61 45.78
Element x y z (fractional)
Ba1 0.1057 0.1057 0.3195
Ba2 0.8943 0.8943 0.6805
Bi1 0.3466 0.3466 0.0410
Bi2 0.6534 0.6534 0.9590
As1 0.4065 0.4065 0.3850
As2 0.5935 0.5935 0.6150


[2]
Starting from a DFT-relaxed cell (GGA-PBE, Alexandria), the X-ray diffraction stick pattern of Ba4Bi2As was calculated for copper Kα.
Kinematic intensities with the Lorentz-polarization factor, no thermal factor.

Peak list (12 most intense, 2θ = 15–90°, sorted by position)
d (Å)  I/Imax
4.706  25
3.853  36
3.547  56
3.366  42
3.292  25
3.119  100
2.929  87
2.888  48
2.681  68
2.583  55
1.926  40
1.594  27

Structural model:
Lattice parameters (Å, degrees): 7.1415 7.1415 9.8272 116.12 116.12 42.40
Element x y z (fractional)
Ba1 0.0775 0.0775 0.3693
Ba2 0.3267 0.3267 0.9322
Ba3 0.6733 0.6733 0.0678
Ba4 0.9225 0.9225 0.6307
Bi1 0.3529 0.3529 0.3335
Bi2 0.6471 0.6471 0.6665
As1 0.0000 0.0000 0.0000


[3]
Starting from a DFT-relaxed cell (GGA-PBE, Alexandria), the X-ray diffraction stick pattern of BaBiAsO6 was calculated for copper Kα.
Kinematic intensities with the Lorentz-polarization factor, no thermal factor.

Peak list (12 most intense, 2θ = 15–90°, sorted by position)
d (Å)  I/Imax
5.838  20
4.650  10
3.637  100
2.919  12
2.685  35
2.160  22
1.976  42
1.795  13
1.683  23
1.550  10
1.369  9
1.304  10

Structural model:
Lattice parameters (Å, degrees): 5.3694 5.3694 5.8376 90.00 90.00 120.00
Element x y z (fractional)
Ba1 0.0000 0.0000 0.0000
Bi1 0.3333 0.6667 0.5000
As1 0.6667 0.3333 0.5000
O1 0.4019 0.0363 0.6927
O2 0.4019 0.3656 0.3073
O3 0.6344 0.0363 0.3073
O4 0.6344 0.5981 0.6927
O5 0.9637 0.3656 0.6927
O6 0.9637 0.5981 0.3073


[4]
Starting from a DFT-relaxed cell (GGA-PBE, Alexandria), the X-ray diffraction stick pattern of Ba4As2Br3 was calculated for copper Kα.
Kinematic intensities with the Lorentz-polarization factor, no thermal factor.

Peak list (12 most intense, 2θ = 15–90°, sorted by position)
d (Å)  I/Imax
3.478  100
3.134  9
2.813  8
2.528  28
2.396  42
2.282  12
1.973  20
1.739  11
1.523  17
1.495  7
1.407  13
1.383  7

Structural model:
Lattice parameters (Å, degrees): 4.7934 4.7934 19.1238 90.02 90.02 59.97
Element x y z (fractional)
Ba1 0.0005 0.0005 0.3184
Ba2 0.3339 0.3339 0.1185
Ba3 0.6661 0.6661 0.8815
Ba4 0.9995 0.9995 0.6816
As1 0.3328 0.3328 0.7921
As2 0.6672 0.6672 0.2079
Br1 0.0000 0.0000 0.0000
Br2 0.3338 0.3338 0.4043
Br3 0.6662 0.6662 0.5957